Y2HoCo2B2C3: simulated PXRD pattern (Cu Kα (λ = 1.5418 Å)), based on the GGA-PBE geometry in OQMD.
Peak positions follow from Bragg's law for the DFT cell and can differ from measured ones.

The 6 most intense peaks (2θ from 10° to 90°), in order of falling intensity:
Position (°2θ)	d (Å)	Rel. int.
28.35	3.148	100
33.38	2.684	87
36.91	2.435	69
34.94	2.568	56
44.81	2.023	40
51.56	1.773	40

Atomic structure:
Cell: 10.574 10.574 10.574 Å, 160.70 160.70 27.43°
Fractional positions:
Y 0.124 0.124 0.000
Y 0.876 0.876 0.000
Ho 0.500 0.500 0.000
Co 0.250 0.750 0.500
Co 0.750 0.250 0.500
B 0.306 0.306 0.000
B 0.694 0.694 0.000
C 0.000 0.000 0.000
C 0.379 0.379 0.000
C 0.621 0.621 0.000